No. 1
Simulated XRD peak list
Compound: Ba4Pd2Au5
Radiation: Cu Kα
Structure: a structure optimized by DFT (PBE)
No peak broadening, texture or thermal motion is included.

Unit cell a=7.865 b=4.380 c=9.508 alpha=90.00 beta=93.22 gamma=90.00
Atoms (fractional coordinates):
Ba (0.218, 0.000, 0.142)
Ba (0.255, 0.000, 0.620)
Ba (0.745, 0.000, 0.380)
Ba (0.782, 0.000, 0.858)
Pd (0.054, 0.500, 0.367)
Pd (0.946, 0.500, 0.633)
Au (0.151, 0.500, 0.878)
Au (0.407, 0.500, 0.368)
Au (0.500, 0.500, 0.000)
Au (0.593, 0.500, 0.632)
Au (0.849, 0.500, 0.122)

Principal peaks in the range 5 to 70 degrees two-theta, by intensity:
3.019 Å, rel. 100; 2.940 Å, rel. 53; 2.924 Å, rel. 45; 2.190 Å, rel. 37; 4.380 Å, rel. 34; 2.349 Å, rel. 28; 2.373 Å, rel. 26; 2.827 Å, rel. 23; 1.449 Å, rel. 21; 2.104 Å, rel. 21; 2.488 Å, rel. 20; 1.602 Å, rel. 17



No. 2
Simulated XRD peak list
Compound: LaNd6Tm6
Radiation: Cu Kα
Structure: a structure optimized by DFT (PBE)
No peak broadening, texture or thermal motion is included.

Unit cell a=6.734 b=6.734 c=11.461 alpha=90.00 beta=90.00 gamma=120.00
Atoms (fractional coordinates):
La (0.000, 0.000, 0.000)
Nd (0.000, 0.000, 0.347)
Nd (0.000, 0.000, 0.653)
Nd (0.333, 0.667, 0.000)
Nd (0.333, 0.667, 0.500)
Nd (0.667, 0.333, 0.000)
Nd (0.667, 0.333, 0.500)
Tm (0.000, 0.500, 0.247)
Tm (0.000, 0.500, 0.753)
Tm (0.500, 0.000, 0.247)
Tm (0.500, 0.000, 0.753)
Tm (0.500, 0.500, 0.247)
Tm (0.500, 0.500, 0.753)

Principal peaks in the range 5 to 70 degrees two-theta, by intensity:
2.599 Å, rel. 100; 2.903 Å, rel. 77; 2.916 Å, rel. 57; 1.683 Å, rel. 35; 2.865 Å, rel. 31; 2.572 Å, rel. 31; 3.367 Å, rel. 28; 1.661 Å, rel. 28; 1.451 Å, rel. 24; 3.196 Å, rel. 21; 1.841 Å, rel. 21; 1.747 Å, rel. 20



No. 3
Simulated XRD peak list
Compound: In5Bi4Pb4
Radiation: Cu Kα
Structure: a structure optimized by DFT (PBE)
No peak broadening, texture or thermal motion is included.

Unit cell a=5.244 b=9.012 c=9.048 alpha=85.44 beta=74.35 gamma=74.00
Atoms (fractional coordinates):
In (0.000, 0.000, 0.000)
In (0.308, 0.143, 0.228)
In (0.454, 0.231, 0.856)
In (0.546, 0.769, 0.144)
In (0.692, 0.857, 0.772)
Bi (0.108, 0.525, 0.291)
Bi (0.377, 0.709, 0.527)
Bi (0.623, 0.291, 0.473)
Bi (0.892, 0.475, 0.709)
Pb (0.153, 0.089, 0.623)
Pb (0.232, 0.623, 0.910)
Pb (0.768, 0.377, 0.090)
Pb (0.847, 0.911, 0.377)

Principal peaks in the range 5 to 70 degrees two-theta, by intensity:
2.881 Å, rel. 100; 2.838 Å, rel. 51; 2.829 Å, rel. 48; 2.621 Å, rel. 40; 2.418 Å, rel. 31; 2.401 Å, rel. 30; 1.770 Å, rel. 24; 1.567 Å, rel. 16; 1.801 Å, rel. 12; 1.455 Å, rel. 12; 1.459 Å, rel. 12; 1.755 Å, rel. 12



No. 4
Simulated XRD peak list
Compound: Ac3InIr8
Radiation: Cu Kα
Structure: a structure optimized by DFT (PBE)
No peak broadening, texture or thermal motion is included.

Unit cell a=9.552 b=9.552 c=9.552 alpha=33.59 beta=33.59 gamma=33.59
Atoms (fractional coordinates):
Ac (0.000, 0.000, 0.000)
Ac (0.127, 0.127, 0.127)
Ac (0.621, 0.621, 0.621)
In (0.497, 0.497, 0.497)
Ir (0.061, 0.061, 0.559)
Ir (0.061, 0.559, 0.061)
Ir (0.067, 0.562, 0.562)
Ir (0.313, 0.313, 0.313)
Ir (0.559, 0.061, 0.061)
Ir (0.562, 0.067, 0.562)
Ir (0.562, 0.562, 0.067)
Ir (0.813, 0.813, 0.813)

Principal peaks in the range 5 to 70 degrees two-theta, by intensity:
2.353 Å, rel. 100; 2.253 Å, rel. 40; 1.502 Å, rel. 33; 1.379 Å, rel. 29; 2.759 Å, rel. 27; 1.593 Å, rel. 11; 4.505 Å, rel. 5; 1.951 Å, rel. 5; 1.790 Å, rel. 1; 3.580 Å, rel. 1; 3.003 Å, rel. 1; 4.707 Å, rel. 1



No. 5
Simulated XRD peak list
Compound: AcS2
Radiation: Cu Kα
Structure: a structure optimized by DFT (PBE)
No peak broadening, texture or thermal motion is included.

Unit cell a=8.468 b=4.285 c=8.463 alpha=90.00 beta=90.17 gamma=90.00
Atoms (fractional coordinates):
Ac (0.223, 0.209, 0.132)
Ac (0.223, 0.291, 0.632)
Ac (0.777, 0.709, 0.368)
Ac (0.777, 0.791, 0.868)
S (0.135, 0.736, 0.374)
S (0.135, 0.764, 0.874)
S (0.498, 0.647, 0.102)
S (0.498, 0.853, 0.602)
S (0.502, 0.147, 0.398)
S (0.502, 0.353, 0.898)
S (0.865, 0.236, 0.126)
S (0.865, 0.264, 0.626)

Principal peaks in the range 5 to 70 degrees two-theta, by intensity:
3.785 Å, rel. 100; 3.824 Å, rel. 96; 2.454 Å, rel. 95; 3.011 Å, rel. 77; 4.234 Å, rel. 56; 2.357 Å, rel. 35; 2.116 Å, rel. 31; 1.851 Å, rel. 27; 2.837 Å, rel. 27; 1.865 Å, rel. 25; 2.823 Å, rel. 19; 1.896 Å, rel. 18



No. 6
Simulated XRD peak list
Compound: Ca3Os2
Radiation: Cu Kα
Structure: a structure optimized by DFT (PBE)
No peak broadening, texture or thermal motion is included.

Unit cell a=11.470 b=6.879 c=13.190 alpha=60.37 beta=31.42 gamma=88.22
Atoms (fractional coordinates):
Ca (0.000, 0.000, 0.000)
Ca (0.250, 0.250, 0.250)
Ca (0.277, 0.821, 0.505)
Ca (0.745, 0.853, 0.973)
Ca (0.821, 0.277, 0.397)
Ca (0.853, 0.745, 0.429)
Os (0.305, 0.637, 0.752)
Os (0.498, 0.945, 0.945)
Os (0.637, 0.305, 0.305)
Os (0.945, 0.498, 0.613)

Principal peaks in the range 5 to 70 degrees two-theta, by intensity:
5.770 Å, rel. 100; 5.681 Å, rel. 53; 2.549 Å, rel. 45; 2.509 Å, rel. 35; 2.223 Å, rel. 26; 2.533 Å, rel. 26; 2.615 Å, rel. 23; 2.429 Å, rel. 21; 2.028 Å, rel. 18; 4.333 Å, rel. 16; 1.945 Å, rel. 14; 1.880 Å, rel. 11



No. 7
Simulated XRD peak list
Compound: Tb5Ru2O12
Radiation: Cu Kα
Structure: a structure optimized by DFT (PBE)
No peak broadening, texture or thermal motion is included.

Unit cell a=6.896 b=6.896 c=7.365 alpha=105.57 beta=105.57 gamma=50.22
Atoms (fractional coordinates):
Tb (0.000, 0.000, 0.000)
Tb (0.302, 0.302, 0.139)
Tb (0.308, 0.308, 0.671)
Tb (0.692, 0.692, 0.329)
Tb (0.698, 0.698, 0.861)
Ru (0.252, 0.748, 0.500)
Ru (0.748, 0.252, 0.500)
O (0.000, 0.000, 0.317)
O (0.000, 0.000, 0.683)
O (0.095, 0.597, 0.925)
O (0.100, 0.573, 0.418)
O (0.403, 0.905, 0.075)
O (0.427, 0.900, 0.582)
O (0.500, 0.500, 0.301)
O (0.500, 0.500, 0.699)
O (0.573, 0.100, 0.418)
O (0.597, 0.095, 0.925)
O (0.900, 0.427, 0.582)
O (0.905, 0.403, 0.075)

Principal peaks in the range 5 to 70 degrees two-theta, by intensity:
3.117 Å, rel. 100; 3.289 Å, rel. 95; 2.702 Å, rel. 76; 1.985 Å, rel. 30; 1.652 Å, rel. 28; 2.251 Å, rel. 26; 2.762 Å, rel. 24; 1.841 Å, rel. 21; 1.607 Å, rel. 21; 1.724 Å, rel. 19; 2.926 Å, rel. 19; 2.627 Å, rel. 18



No. 8
Simulated XRD peak list
Compound: In8GaHg4
Radiation: Cu Kα
Structure: a structure optimized by DFT (PBE)
No peak broadening, texture or thermal motion is included.

Unit cell a=5.628 b=8.102 c=8.344 alpha=75.99 beta=77.69 gamma=77.99
Atoms (fractional coordinates):
In (0.166, 0.334, 0.342)
In (0.173, 0.842, 0.835)
In (0.193, 0.848, 0.344)
In (0.203, 0.277, 0.774)
In (0.797, 0.723, 0.226)
In (0.807, 0.152, 0.656)
In (0.827, 0.158, 0.165)
In (0.834, 0.666, 0.658)
Ga (0.000, 0.500, 0.000)
Hg (0.500, 0.000, 0.000)
Hg (0.500, 0.000, 0.500)
Hg (0.500, 0.500, 0.000)
Hg (0.500, 0.500, 0.500)

Principal peaks in the range 5 to 70 degrees two-theta, by intensity:
2.978 Å, rel. 100; 3.085 Å, rel. 98; 2.933 Å, rel. 97; 2.530 Å, rel. 87; 2.446 Å, rel. 83; 2.417 Å, rel. 73; 1.985 Å, rel. 28; 1.808 Å, rel. 28; 1.929 Å, rel. 26; 1.944 Å, rel. 24; 1.905 Å, rel. 23; 1.820 Å, rel. 22



No. 9
Simulated XRD peak list
Compound: Pr7Dy2
Radiation: Cu Kα
Structure: a structure optimized by DFT (PBE)
No peak broadening, texture or thermal motion is included.

Unit cell a=6.371 b=6.371 c=8.999 alpha=90.00 beta=90.00 gamma=120.00
Atoms (fractional coordinates):
Pr (0.000, 0.000, 0.000)
Pr (0.000, 0.334, 0.670)
Pr (0.000, 0.666, 0.330)
Pr (0.334, 0.000, 0.670)
Pr (0.334, 0.334, 0.330)
Pr (0.666, 0.000, 0.330)
Pr (0.666, 0.666, 0.670)
Dy (0.333, 0.667, 0.000)
Dy (0.667, 0.333, 0.000)

Principal peaks in the range 5 to 70 degrees two-theta, by intensity:
3.002 Å, rel. 100; 2.600 Å, rel. 51; 1.568 Å, rel. 43; 1.838 Å, rel. 36; 1.501 Å, rel. 12



No. 10
Simulated XRD peak list
Compound: BaIn2NiSn
Radiation: Cu Kα
Structure: a structure optimized by DFT (PBE)
No peak broadening, texture or thermal motion is included.

Unit cell a=5.112 b=5.112 c=5.214 alpha=90.00 beta=90.00 gamma=90.00
Atoms (fractional coordinates):
Ba (0.000, 0.000, 0.000)
In (0.000, 0.500, 0.500)
In (0.500, 0.000, 0.500)
Ni (0.500, 0.500, 0.500)
Sn (0.500, 0.500, 0.000)

Principal peaks in the range 5 to 70 degrees two-theta, by intensity:
2.971 Å, rel. 100; 2.556 Å, rel. 57; 1.825 Å, rel. 41; 2.607 Å, rel. 30; 1.544 Å, rel. 28; 1.485 Å, rel. 21; 1.808 Å, rel. 20; 1.566 Å, rel. 15; 3.650 Å, rel. 6; 3.615 Å, rel. 3; 5.112 Å, rel. 3; 2.094 Å, rel. 2



No. 11
Simulated XRD peak list
Compound: Mn8Ga2N
Radiation: Cu Kα
Structure: a structure optimized by DFT (PBE)
No peak broadening, texture or thermal motion is included.

Unit cell a=3.552 b=3.552 c=10.135 alpha=90.00 beta=90.00 gamma=90.00
Atoms (fractional coordinates):
Mn (0.000, 0.000, 0.196)
Mn (0.000, 0.000, 0.804)
Mn (0.000, 0.500, 0.000)
Mn (0.000, 0.500, 0.385)
Mn (0.000, 0.500, 0.615)
Mn (0.500, 0.000, 0.000)
Mn (0.500, 0.000, 0.385)
Mn (0.500, 0.000, 0.615)
Ga (0.500, 0.500, 0.188)
Ga (0.500, 0.500, 0.812)
N (0.500, 0.500, 0.500)

Principal peaks in the range 5 to 70 degrees two-theta, by intensity:
2.016 Å, rel. 100; 2.250 Å, rel. 62; 1.776 Å, rel. 52; 2.027 Å, rel. 33; 2.438 Å, rel. 14; 1.784 Å, rel. 6; 3.552 Å, rel. 2; 10.135 Å, rel. 2; 2.448 Å, rel. 2; 1.689 Å, rel. 2; 1.402 Å, rel. 2; 2.512 Å, rel. 2



No. 12
Simulated XRD peak list
Compound: Th4Ge2PtS
Radiation: Cu Kα
Structure: a structure optimized by DFT (PBE)
No peak broadening, texture or thermal motion is included.

Unit cell a=7.355 b=4.193 c=7.366 alpha=90.00 beta=109.90 gamma=90.00
Atoms (fractional coordinates):
Th (0.243, 0.000, 0.244)
Th (0.249, 0.500, 0.747)
Th (0.751, 0.500, 0.253)
Th (0.757, 0.000, 0.756)
Ge (0.500, 0.000, 0.000)
Ge (0.500, 0.500, 0.500)
Pt (0.000, 0.500, 0.000)
S (0.000, 0.000, 0.500)

Principal peaks in the range 5 to 70 degrees two-theta, by intensity:
2.977 Å, rel. 100; 2.118 Å, rel. 78; 3.013 Å, rel. 52; 3.460 Å, rel. 24; 3.442 Å, rel. 24; 1.730 Å, rel. 21; 1.721 Å, rel. 21; 2.113 Å, rel. 19; 2.097 Å, rel. 19; 1.488 Å, rel. 13; 1.345 Å, rel. 9; 1.793 Å, rel. 8



No. 13
Simulated XRD peak list
Compound: LiAc2S2I2
Radiation: Cu Kα
Structure: a structure optimized by DFT (PBE)
No peak broadening, texture or thermal motion is included.

Unit cell a=4.977 b=4.977 c=13.352 alpha=90.00 beta=90.00 gamma=120.00
Atoms (fractional coordinates):
Li (0.000, 0.000, 0.000)
Ac (0.333, 0.667, 0.629)
Ac (0.667, 0.333, 0.371)
S (0.333, 0.667, 0.410)
S (0.667, 0.333, 0.590)
I (0.000, 0.000, 0.204)
I (0.000, 0.000, 0.796)

Principal peaks in the range 5 to 70 degrees two-theta, by intensity:
13.352 Å, rel. 100; 4.102 Å, rel. 72; 3.621 Å, rel. 63; 3.096 Å, rel. 47; 2.488 Å, rel. 46; 2.639 Å, rel. 24; 1.820 Å, rel. 21; 2.051 Å, rel. 14; 2.270 Å, rel. 14; 2.127 Å, rel. 13; 1.940 Å, rel. 13; 1.583 Å, rel. 12